This entry pairs a crystal structure of ReNCl4 with its theoretical powder XRD pattern. Radiation: Cu Kα X-rays. Structure: a PBE-relaxed structure.
Lines closer than 0.1° are merged.

Structure:
```
data_ReNCl4
_chemical_formula_sum 'Re2 N2 Cl8'
_cell_length_a 8.802
_cell_length_b 8.802
_cell_length_c 4.106
_cell_angle_alpha 90.00
_cell_angle_beta 90.00
_cell_angle_gamma 90.00
_symmetry_space_group_name_H-M 'I 4'
_symmetry_Int_Tables_number 79
loop_
_symmetry_equiv_pos_as_xyz
'x,y,z'
'-y,x,z'
'-x,-y,z'
'y,-x,z'
'x+1/2,y+1/2,z+1/2'
'-y+1/2,x+1/2,z+1/2'
'-x+1/2,-y+1/2,z+1/2'
'y+1/2,-x+1/2,z+1/2'
loop_
_atom_site_label
_atom_site_type_symbol
_atom_site_fract_x
_atom_site_fract_y
_atom_site_fract_z
Re1 Re 0.000 0.000 0.000
N1 N 0.000 0.000 0.412
Cl1 Cl 0.068 0.750 0.914
```

Most intense lines, 5 to 70 degrees two-theta, sorted by position:
14.23°, I = 1000; 20.18°, I = 339; 23.92°, I = 817; 31.49°, I = 271; 32.16°, I = 352; 37.68°, I = 170; 43.11°, I = 177; 46.12°, I = 165; 48.04°, I = 265; 56.91°, I = 148